Simulated powder diffractogram
Compound: ZrPt3
Radiation: λ = 1.5418 Å (Cu Kα)
Structure: DFT lattice parameters and positions (PBE)
Intensities are scaled so that the largest is 100.

Crystal structure
```
data_ZrPt3
_cell_length_a 4.056
_cell_length_b 4.056
_cell_length_c 4.056
_cell_angle_alpha 90.00
_cell_angle_beta 90.00
_cell_angle_gamma 90.00
_space_group_name_H-M_alt 'P m -3 m'
_space_group_IT_number 221
_space_group_name_Hall '-P 4 2 3'
loop_
_atom_site_label
_atom_site_type_symbol
_atom_site_fract_x
_atom_site_fract_y
_atom_site_fract_z
_atom_site_occupancy
Zr1 Zr 0.000 0.000 0.000 1
Pt1 Pt 0.000 0.500 0.500 1
```

Most intense lines, 2θ = 15–90°, by intensity:
2θ 38.4, I 100, hkl 1 1 1; 2θ 44.7, I 49, hkl 2 0 0; 2θ 78.2, I 39, hkl 3 1 1; 2θ 65.0, I 32, hkl 2 2 0; 2θ 82.4, I 11, hkl 2 2 2; 2θ 21.9, I 6, hkl 1 0 0



Simulated powder diffractogram
Compound: ZrPt3
Radiation: λ = 1.5418 Å (Cu Kα)
Structure: DFT lattice parameters and positions (PBE)
Intensities are scaled so that the largest is 100.

Crystal structure
```
data_ZrPt3
_cell_length_a 5.7406
_cell_length_b 5.7406
_cell_length_c 9.3810
_cell_angle_alpha 90.00
_cell_angle_beta 90.00
_cell_angle_gamma 120.00
_space_group_name_H-M_alt 'P 63/m m c'
_space_group_IT_number 194
_space_group_name_Hall '-P 6c 2c'
loop_
_atom_site_label
_atom_site_type_symbol
_atom_site_fract_x
_atom_site_fract_y
_atom_site_fract_z
_atom_site_occupancy
Zr1 Zr 0.0000 0.0000 0.0000 1
Zr2 Zr 0.3333 0.6667 0.2500 1
Pt1 Pt 0.0000 0.5000 0.0000 1
Pt2 Pt 0.1699 0.3398 0.7500 1
```

Most intense lines, 2θ = 15–90°, by intensity:
2θ 41.1, I 100, hkl 2 0 2; 2θ 37.4, I 43, hkl 2 0 1; 2θ 38.4, I 36, hkl 0 0 4; 2θ 78.1, I 28, hkl 2 2 4; 2θ 46.7, I 23, hkl 2 0 3; 2θ 65.0, I 23, hkl 2 2 0



Simulated powder diffractogram
Compound: Pu
Radiation: λ = 1.5418 Å (Cu Kα)
Structure: DFT lattice parameters and positions (PBE)
Intensities are scaled so that the largest is 100.

Crystal structure
```
data_Pu
_cell_length_a 3.207
_cell_length_b 3.207
_cell_length_c 3.207
_cell_angle_alpha 90.00
_cell_angle_beta 90.00
_cell_angle_gamma 90.00
_space_group_name_H-M_alt 'I m -3 m'
_space_group_IT_number 229
_space_group_name_Hall '-I 4 2 3'
loop_
_atom_site_label
_atom_site_type_symbol
_atom_site_fract_x
_atom_site_fract_y
_atom_site_fract_z
_atom_site_occupancy
Pu1 Pu 0.000 0.000 0.000 1
```

Most intense lines, 2θ = 15–90°, by intensity:
2θ 39.8, I 100, hkl 1 1 0; 2θ 72.2, I 36, hkl 2 1 1; 2θ 57.5, I 18, hkl 2 0 0; 2θ 85.7, I 12, hkl 2 2 0



Simulated powder diffractogram
Compound: Pu
Radiation: λ = 1.5418 Å (Cu Kα)
Structure: DFT lattice parameters and positions (PBE)
Intensities are scaled so that the largest is 100.

Crystal structure
```
data_Pu
_cell_length_a 3.604
_cell_length_b 6.355
_cell_length_c 6.897
_cell_angle_alpha 73.77
_cell_angle_beta 89.97
_cell_angle_gamma 89.78
_space_group_name_H-M_alt 'P -1'
_space_group_IT_number 2
loop_
_space_group_symop_operation_xyz
'x,y,z'
'-x,-y,-z'
loop_
_atom_site_label
_atom_site_type_symbol
_atom_site_fract_x
_atom_site_fract_y
_atom_site_fract_z
_atom_site_occupancy
Pu1 Pu 0.117 0.074 0.328 1
Pu2 Pu 0.128 0.442 0.359 1
Pu3 Pu 0.373 0.442 0.860 1
Pu4 Pu 0.383 0.074 0.828 1
```

Most intense lines, 2θ = 15–90°, by intensity:
2θ 29.3, I 100, hkl 0 2 0; 2θ 36.9, I 97, hkl 1 0 -2; 2θ 28.2, I 76, hkl 1 0 1; 2θ 52.6, I 66, hkl 2 0 1; 2θ 48.4, I 52, hkl 1 0 3; 2θ 45.3, I 49, hkl 0 3 2



Simulated powder diffractogram
Compound: Pu
Radiation: λ = 1.5418 Å (Cu Kα)
Structure: DFT lattice parameters and positions (PBE)
Intensities are scaled so that the largest is 100.

Crystal structure
```
data_Pu
_cell_length_a 6.013
_cell_length_b 4.555
_cell_length_c 10.952
_cell_angle_alpha 90.00
_cell_angle_beta 101.93
_cell_angle_gamma 90.00
_space_group_name_H-M_alt 'P 1 21/m 1'
_space_group_IT_number 11
loop_
_space_group_symop_operation_xyz
'x,y,z'
'-x,-y,-z'
'-x,y+1/2,-z'
'x,-y+1/2,z'
loop_
_atom_site_label
_atom_site_type_symbol
_atom_site_fract_x
_atom_site_fract_y
_atom_site_fract_z
_atom_site_occupancy
Pu1 Pu 0.018 0.250 0.118 1
Pu2 Pu 0.108 0.250 0.827 1
Pu3 Pu 0.134 0.750 0.609 1
Pu4 Pu 0.251 0.750 0.330 1
Pu5 Pu 0.302 0.250 0.427 1
Pu6 Pu 0.335 0.250 0.657 1
Pu7 Pu 0.350 0.750 0.037 1
Pu8 Pu 0.443 0.250 0.137 1
```

Most intense lines, 2θ = 15–90°, by intensity:
2θ 39.6, I 100, hkl 0 2 0; 2θ 38.8, I 78, hkl 2 1 1; 2θ 33.0, I 59, hkl 1 1 -3; 2θ 35.3, I 54, hkl 2 0 -3; 2θ 31.8, I 49, hkl 0 1 3; 2θ 33.2, I 43, hkl 2 0 1



Simulated powder diffractogram
Compound: Pu
Radiation: λ = 1.5418 Å (Cu Kα)
Structure: DFT lattice parameters and positions (PBE)
Intensities are scaled so that the largest is 100.

Crystal structure
```
data_Pu
_cell_length_a 11.653
_cell_length_b 10.336
_cell_length_c 7.806
_cell_angle_alpha 90.00
_cell_angle_beta 126.33
_cell_angle_gamma 90.00
_space_group_name_H-M_alt 'C 1 2/m 1'
_space_group_IT_number 12
loop_
_space_group_symop_operation_xyz
'x,y,z'
'-x,-y,-z'
'-x,y,-z'
'x,-y,z'
'x+1/2,y+1/2,z'
'-x+1/2,-y+1/2,-z'
'-x+1/2,y+1/2,-z'
'x+1/2,-y+1/2,z'
loop_
_atom_site_label
_atom_site_type_symbol
_atom_site_fract_x
_atom_site_fract_y
_atom_site_fract_z
_atom_site_occupancy
Pu1 Pu 0.000 0.000 0.000 1
Pu2 Pu 0.000 0.269 0.500 1
Pu3 Pu 0.094 0.500 0.271 1
Pu4 Pu 0.132 0.000 0.758 1
Pu5 Pu 0.140 0.285 0.025 1
Pu6 Pu 0.159 0.150 0.417 1
Pu7 Pu 0.183 0.500 0.757 1
```

Most intense lines, 2θ = 15–90°, by intensity:
2θ 33.4, I 100, hkl 0 2 2; 2θ 36.4, I 68, hkl 4 2 -1; 2θ 34.9, I 59, hkl 3 3 -1; 2θ 36.9, I 45, hkl 4 0 -3; 2θ 35.5, I 34, hkl 1 3 -2; 2θ 40.0, I 30, hkl 3 1 1



Simulated powder diffractogram
Compound: Pu
Radiation: λ = 1.5418 Å (Cu Kα)
Structure: DFT lattice parameters and positions (PBE)
Intensities are scaled so that the largest is 100.

Crystal structure
```
data_Pu
_cell_length_a 4.788
_cell_length_b 4.788
_cell_length_c 4.788
_cell_angle_alpha 90.00
_cell_angle_beta 90.00
_cell_angle_gamma 90.00
_space_group_name_H-M_alt 'F m -3 m'
_space_group_IT_number 225
_space_group_name_Hall '-F 4 2 3'
loop_
_atom_site_label
_atom_site_type_symbol
_atom_site_fract_x
_atom_site_fract_y
_atom_site_fract_z
_atom_site_occupancy
Pu1 Pu 0.000 0.000 0.000 1
```

Most intense lines, 2θ = 15–90°, by intensity:
2θ 32.4, I 100, hkl 1 1 1; 2θ 37.6, I 51, hkl 2 0 0; 2θ 64.5, I 43, hkl 3 1 1; 2θ 54.2, I 36, hkl 2 2 0; 2θ 89.1, I 19, hkl 3 3 1; 2θ 67.8, I 13, hkl 2 2 2



Simulated powder diffractogram
Compound: Pu
Radiation: λ = 1.5418 Å (Cu Kα)
Structure: DFT lattice parameters and positions (PBE)
Intensities are scaled so that the largest is 100.

Crystal structure
```
data_Pu
_cell_length_a 3.586
_cell_length_b 5.613
_cell_length_c 7.078
_cell_angle_alpha 90.00
_cell_angle_beta 90.00
_cell_angle_gamma 90.00
_space_group_name_H-M_alt 'F d d d'
_space_group_IT_number 70
loop_
_space_group_symop_operation_xyz
'x,y,z'
'-x,-y,-z'
'-x+1/4,-y+1/4,z'
'x+1/4,y+1/4,-z'
'x,-y+1/4,-z+1/4'
'-x,y+1/4,z+1/4'
'-x+1/4,y,-z+1/4'
'x+1/4,-y,z+1/4'
'x,y+1/2,z+1/2'
'-x,-y+1/2,-z+1/2'
'-x+1/4,-y+3/4,z+1/2'
'x+1/4,y+3/4,-z+1/2'
'x,-y+3/4,-z+3/4'
'-x,y+3/4,z+3/4'
'-x+1/4,y+1/2,-z+3/4'
'x+1/4,-y+1/2,z+3/4'
'x+1/2,y,z+1/2'
'-x+1/2,-y,-z+1/2'
'-x+3/4,-y+1/4,z+1/2'
'x+3/4,y+1/4,-z+1/2'
'x+1/2,-y+1/4,-z+3/4'
'-x+1/2,y+1/4,z+3/4'
'-x+3/4,y,-z+3/4'
'x+3/4,-y,z+3/4'
'x+1/2,y+1/2,z'
'-x+1/2,-y+1/2,-z'
'-x+3/4,-y+3/4,z'
'x+3/4,y+3/4,-z'
'x+1/2,-y+3/4,-z+1/4'
'-x+1/2,y+3/4,z+1/4'
'-x+3/4,y+1/2,-z+1/4'
'x+3/4,-y+1/2,z+1/4'
loop_
_atom_site_label
_atom_site_type_symbol
_atom_site_fract_x
_atom_site_fract_y
_atom_site_fract_z
_atom_site_occupancy
Pu1 Pu 0.125 0.125 0.125 1
```

Most intense lines, 2θ = 15–90°, by intensity:
2θ 32.2, I 100, hkl 1 1 1; 2θ 41.0, I 53, hkl 0 2 2; 2θ 49.0, I 32, hkl 1 1 3; 2θ 57.0, I 21, hkl 1 3 1; 2θ 57.6, I 20, hkl 2 0 2; 2θ 61.4, I 17, hkl 2 2 0